1.
# Nd3GeRh3
Calculated X-ray powder pattern, Cu Kα, 1.54184 Å. Input: a DFT-relaxed cell (GGA-PBE, Alexandria).
No peak broadening, texture or thermal motion is included.

Principal peaks in the range 10 to 90 degrees two-theta, in order of rising 2θ:
| Position (°2θ) | d_spacing | intensity |
| --- | --- | --- |
| 26.60 | 3.352 | 23 |
| 30.26 | 2.954 | 44 |
| 30.41 | 2.939 | 23 |
| 32.92 | 2.721 | 25 |
| 33.04 | 2.711 | 41 |
| 34.80 | 2.578 | 68 |
| 38.32 | 2.349 | 31 |
| 38.42 | 2.343 | 100 |
| 38.67 | 2.328 | 28 |
| 44.41 | 2.040 | 40 |

a = 5.811 Å, b = 5.811 Å, c = 13.970 Å
α = 90.00°, β = 90.00°, γ = 138.90°
Fractional positions:
Nd 0.011 0.989 0.750
Nd 0.288 0.712 0.607
Nd 0.288 0.712 0.893
Nd 0.712 0.288 0.107
Nd 0.712 0.288 0.393
Nd 0.989 0.011 0.250
Ge 0.000 0.000 0.000
Ge 0.000 0.000 0.500
Rh 0.267 0.733 0.250
Rh 0.428 0.572 0.088
Rh 0.428 0.572 0.412
Rh 0.572 0.428 0.588
Rh 0.572 0.428 0.912
Rh 0.733 0.267 0.750

2.
# Nd3Ge3Rh
Calculated X-ray powder pattern, Cu Kα, 1.54184 Å. Input: a DFT-relaxed cell (GGA-PBE, Alexandria).
No peak broadening, texture or thermal motion is included.

Principal peaks in the range 10 to 90 degrees two-theta, in order of rising 2θ:
| Position (°2θ) | d_spacing | intensity |
| --- | --- | --- |
| 31.63 | 2.829 | 80 |
| 31.88 | 2.807 | 40 |
| 32.09 | 2.789 | 100 |
| 32.64 | 2.743 | 40 |
| 36.42 | 2.467 | 31 |
| 39.05 | 2.307 | 81 |
| 39.98 | 2.255 | 24 |
| 40.99 | 2.202 | 56 |
| 53.35 | 1.717 | 23 |
| 62.90 | 1.478 | 25 |

a = 5.916 Å, b = 5.916 Å, c = 14.416 Å
α = 108.69°, β = 108.69°, γ = 43.71°
Fractional positions:
Nd 0.031 0.031 0.380
Nd 0.101 0.101 0.921
Nd 0.246 0.246 0.234
Nd 0.754 0.754 0.766
Nd 0.899 0.899 0.079
Nd 0.969 0.969 0.620
Ge 0.360 0.360 0.461
Ge 0.384 0.384 0.925
Ge 0.459 0.459 0.767
Ge 0.541 0.541 0.233
Ge 0.616 0.616 0.075
Ge 0.640 0.640 0.539
Rh 0.250 0.250 0.605
Rh 0.750 0.750 0.395

3.
# Nd3Ge2Rh6
Calculated X-ray powder pattern, Cu Kα, 1.54184 Å. Input: a DFT-relaxed cell (GGA-PBE, Alexandria).
No peak broadening, texture or thermal motion is included.

Principal peaks in the range 10 to 90 degrees two-theta, in order of rising 2θ:
| Position (°2θ) | d_spacing | intensity |
| --- | --- | --- |
| 13.31 | 6.650 | 13 |
| 30.05 | 2.974 | 13 |
| 32.99 | 2.715 | 25 |
| 35.72 | 2.514 | 29 |
| 38.28 | 2.351 | 11 |
| 40.70 | 2.217 | 100 |
| 60.70 | 1.526 | 13 |
| 65.88 | 1.418 | 15 |
| 74.08 | 1.280 | 23 |
| 83.51 | 1.158 | 14 |

a = 8.145 Å, b = 8.145 Å, c = 8.145 Å
α = 109.47°, β = 109.47°, γ = 109.47°
Fractional positions:
Nd 0.000 0.284 0.284
Nd 0.000 0.716 0.716
Nd 0.284 0.000 0.284
Nd 0.284 0.284 0.000
Nd 0.716 0.000 0.716
Nd 0.716 0.716 0.000
Ge 0.000 0.000 0.500
Ge 0.000 0.500 0.000
Ge 0.500 0.000 0.000
Ge 0.500 0.500 0.500
Rh 0.000 0.345 0.655
Rh 0.000 0.655 0.345
Rh 0.311 0.655 0.655
Rh 0.345 0.000 0.655
Rh 0.345 0.345 0.689
Rh 0.345 0.655 0.000
Rh 0.345 0.689 0.345
Rh 0.655 0.000 0.345
Rh 0.655 0.311 0.655
Rh 0.655 0.345 0.000
Rh 0.655 0.655 0.311
Rh 0.689 0.345 0.345

4.
# Nd2Ge4Rh5
Calculated X-ray powder pattern, Cu Kα, 1.54184 Å. Input: a DFT-relaxed cell (GGA-PBE, Alexandria).
No peak broadening, texture or thermal motion is included.

Principal peaks in the range 10 to 90 degrees two-theta, in order of rising 2θ:
| Position (°2θ) | d_spacing | intensity |
| --- | --- | --- |
| 30.50 | 2.931 | 62 |
| 32.23 | 2.777 | 39 |
| 36.43 | 2.466 | 78 |
| 36.72 | 2.448 | 98 |
| 40.01 | 2.253 | 100 |
| 44.54 | 2.034 | 56 |
| 49.77 | 1.832 | 40 |
| 63.23 | 1.471 | 31 |
| 66.06 | 1.414 | 33 |
| 87.04 | 1.119 | 30 |

a = 8.806 Å, b = 7.865 Å, c = 5.657 Å
α = 79.42°, β = 61.41°, γ = 39.17°
Fractional positions:
Nd 0.128 0.128 0.872
Nd 0.872 0.872 0.128
Ge 0.213 0.526 0.474
Ge 0.474 0.787 0.213
Ge 0.526 0.213 0.787
Ge 0.787 0.474 0.526
Rh 0.000 0.000 0.500
Rh 0.250 0.250 0.250
Rh 0.500 0.500 0.000
Rh 0.500 0.500 0.500
Rh 0.750 0.750 0.750